Simulated X-ray powder pattern
Compound: YbNi2B2C
Radiation: Cu Kα
Structure: a cell relaxed with PBE
Lines closer than 0.1° are merged.

Most intense lines, 10° ≤ 2θ ≤ 80°, in order of rising 2θ:
26.58 deg, 3.354 Å, I 67
34.80 deg, 2.578 Å, I 34
36.40 deg, 2.468 Å, I 42
39.98 deg, 2.255 Å, I 100
51.24 deg, 1.783 Å, I 14
51.53 deg, 1.773 Å, I 26
58.91 deg, 1.568 Å, I 16
63.69 deg, 1.461 Å, I 23
64.72 deg, 1.440 Å, I 16
65.89 deg, 1.418 Å, I 23

Crystal structure
```
YbNi2B2C
1.0
-1.773 1.773 5.155
1.773 -1.773 5.155
1.773 1.773 -5.155
Yb Ni B C
1 2 2 1
Direct
0.000 0.000 0.000
0.250 0.750 0.500
0.750 0.250 0.500
0.356 0.356 0.000
0.644 0.644 0.000
0.500 0.500 0.000
```